Hg2PI: theoretical X-ray powder pattern (Cu Kα (λ = 1.5418 Å)), based on DFT lattice parameters and positions (PBE).
Neutral-atom scattering factors, no anomalous dispersion.

The 10 most intense peaks (10° ≤ 2θ ≤ 90°), by intensity:
d 3.577, I = 100, (-1 1 1); d 3.907, I = 90, (1 -1 0); d 2.815, I = 55, (1 1 1); d 2.251, I = 48, (2 0 -1); d 3.758, I = 33, (0 0 2); d 3.290, I = 32, (0 2 -2); d 2.962, I = 29, (1 2 -1); d 2.272, I = 25, (0 2 2); d 3.349, I = 24, (1 0 1); d 3.935, I = 24, (0 2 -1)

Structure:
```
data_Hg2PI
_chemical_formula_sum 'Hg4 P2 I2'
_space_group_name_H-M_alt 'P 1'
_space_group_IT_number 1
_space_group_name_Hall 'P 1'
_cell_length_a 4.5012
_cell_length_b 7.9594
_cell_length_c 8.3398
_cell_angle_alpha 109.87
_cell_angle_beta 105.51
_cell_angle_gamma 90.26
loop_
_atom_site_label
_atom_site_fract_x
_atom_site_fract_y
_atom_site_fract_z
_atom_site_occupancy
Hg1 0.0000 0.0000 0.0000 1
Hg2 0.1802 0.0472 0.3571 1
Hg3 0.4496 0.3646 0.8990 1
Hg4 0.7472 0.4454 0.4869 1
P1 0.7640 0.1501 0.5257 1
P2 0.9075 0.2191 0.8157 1
I1 0.3797 0.6867 0.7526 1
I2 0.6444 0.6489 0.2680 1
```